Calculated powder diffractogram of PuThAg2O6 for CuKα, from DFT lattice parameters and positions (PBE).

Cell and atoms:
```
data_PuThAg2O6
_chemical_formula_sum 'Pu1 Th1 Ag2 O6'
_space_group_name_H-M_alt 'P 4 m m'
_space_group_IT_number 99
_space_group_name_Hall 'P 4 -2'
_cell_length_a 6.243
_cell_length_b 6.243
_cell_length_c 4.348
_cell_angle_alpha 90.00
_cell_angle_beta 90.00
_cell_angle_gamma 90.00
loop_
_atom_site_label
_atom_site_fract_x
_atom_site_fract_y
_atom_site_fract_z
Pu1 0.000 0.000 0.000
Th1 0.500 0.500 0.956
Ag1 0.000 0.500 0.296
O1 0.000 0.000 0.501
O2 0.233 0.233 0.012
O3 0.500 0.500 0.461
```

The 6 most intense peaks (2θ from 10° to 90°), by angle:
(hkl), Position (°2θ), intensity
0 0 1, 20.4, 39
2 0 0, 28.6, 71
1 1 1, 28.8, 100
2 2 0, 40.9, 39
1 1 2, 46.6, 37
3 1 1, 50.8, 43

***

Calculated powder diffractogram of PuTlAgO5 for CuKα, from DFT lattice parameters and positions (PBE).

Cell and atoms:
```
data_PuTlAgO5
_chemical_formula_sum 'Pu4 Tl4 Ag4 O20'
_space_group_name_H-M_alt 'C 1 2/c 1'
_space_group_IT_number 15
_space_group_name_Hall '-C 2yc'
_cell_length_a 6.971
_cell_length_b 10.570
_cell_length_c 8.202
_cell_angle_alpha 90.00
_cell_angle_beta 110.31
_cell_angle_gamma 90.00
loop_
_atom_site_label
_atom_site_fract_x
_atom_site_fract_y
_atom_site_fract_z
Pu1 0.000 0.000 0.000
Tl1 0.000 0.317 0.250
Ag1 0.000 0.322 0.750
O1 0.000 0.057 0.250
O2 0.062 0.174 0.576
O3 0.212 0.465 0.927
```

The 6 most intense peaks (2θ from 10° to 90°), by angle:
(hkl), Position (°2θ), intensity
1 1 -2, 23.9, 53
2 0 0, 27.3, 40
1 3 0, 28.8, 100
1 1 2, 32.0, 18
2 2 -2, 33.7, 21
3 3 0, 49.2, 16

***

Calculated powder diffractogram of PuTlAgO4 for CuKα, from DFT lattice parameters and positions (PBE).

Cell and atoms:
```
data_PuTlAgO4
_chemical_formula_sum 'Pu2 Tl2 Ag2 O8'
_space_group_name_H-M_alt 'P 1 21/m 1'
_space_group_IT_number 11
_space_group_name_Hall '-P 2yb'
_cell_length_a 6.617
_cell_length_b 5.358
_cell_length_c 7.980
_cell_angle_alpha 90.00
_cell_angle_beta 114.24
_cell_angle_gamma 90.00
loop_
_atom_site_label
_atom_site_fract_x
_atom_site_fract_y
_atom_site_fract_z
Pu1 0.200 0.250 0.161
Tl1 0.201 0.750 0.481
Ag1 0.328 0.750 0.939
O1 0.013 0.750 0.107
O2 0.017 0.250 0.316
O3 0.439 0.009 0.194
```

The 6 most intense peaks (2θ from 10° to 90°), by angle:
(hkl), Position (°2θ), intensity
0 1 1, 20.6, 55
1 0 1, 22.7, 35
1 1 -2, 28.3, 100
2 0 0, 29.7, 71
2 1 -1, 31.8, 70
0 2 0, 33.4, 49